[1]
Starting from a structure optimized by DFT (PBE), the XRD peak list of KRbIn2I6 was computed for Cu Kα, 1.54184 Å.
Intensities are scaled so that the largest is 100.

Top 10 peaks for 10° ≤ 2θ ≤ 90°, in order of rising 2θ:
2θ/deg	I_rel
14.40	63.4
24.00	100.0
25.06	42.6
29.04	79.6
31.75	27.0
32.53	60.4
35.81	28.3
43.47	30.0
43.59	29.4
56.00	27.1

```
10
Lattice="4.343 2.507 7.121 -4.343 2.507 7.121 0.000 -5.015 7.121" Properties=species:S:1:pos:R:3 pbc="T T T"
K 0.000 0.000 0.000
Rb 0.000 0.000 10.629
In 0.000 0.000 4.612
In 0.000 0.000 15.340
I -1.626 -3.241 9.925
I -2.713 0.654 13.381
I -1.994 3.029 9.925
I 0.790 -2.676 13.381
I 3.620 0.212 9.925
I 1.923 2.023 13.381
```

---

[2]
Starting from a structure optimized by DFT (PBE), the XRD peak list of Cd4InTe was computed for Cu Kα, 1.54184 Å.
Intensities are scaled so that the largest is 100.

Top 10 peaks for 10° ≤ 2θ ≤ 90°, in order of rising 2θ:
2θ/deg	I_rel
29.52	28.0
34.77	100.0
36.37	38.9
52.38	11.0
55.82	32.9
61.28	28.1
72.42	11.1
73.39	13.8
84.78	5.5
87.57	20.6

```
6
Lattice="0.000 4.279 4.279 4.279 0.000 4.279 4.279 4.279 0.000" Properties=species:S:1:pos:R:3 pbc="T T T"
Cd 1.063 1.063 1.063
Cd 3.215 3.215 1.063
Cd 3.215 1.063 3.215
Cd 1.063 3.215 3.215
In 6.418 6.418 6.418
Te 4.279 4.279 4.279
```

---

[3]
Starting from a structure optimized by DFT (PBE), the XRD peak list of TcIr5 was computed for Cu Kα, 1.54184 Å.
Intensities are scaled so that the largest is 100.

Top 10 peaks for 10° ≤ 2θ ≤ 90°, in order of rising 2θ:
2θ/deg	I_rel
37.72	24.6
40.82	25.8
43.10	100.0
56.79	15.2
68.09	17.3
75.90	19.2
80.55	2.8
82.54	20.7
84.07	14.9
88.46	3.0

```
6
Lattice="4.770 0.000 0.000 -2.385 4.131 0.000 0.000 0.000 4.421" Properties=species:S:1:pos:R:3 pbc="T T T"
Tc 0.000 0.000 0.000
Ir -1.593 2.760 2.210
Ir 0.792 1.371 2.210
Ir 0.000 2.754 0.000
Ir 2.385 1.377 0.000
Ir 3.187 0.000 2.210
```

---

[4]
Starting from a structure optimized by DFT (PBE), the XRD peak list of KTeI4 was computed for Cu Kα, 1.54184 Å.
Intensities are scaled so that the largest is 100.

Top 10 peaks for 10° ≤ 2θ ≤ 90°, in order of rising 2θ:
2θ/deg	I_rel
13.94	97.1
15.38	57.6
17.67	94.9
20.72	64.2
22.80	40.1
27.10	77.7
30.38	100.0
33.61	39.1
43.50	50.2
45.12	42.6

```
12
Lattice="6.663 0.000 0.000 0.000 12.707 0.000 -2.038 0.000 8.181" Properties=species:S:1:pos:R:3 pbc="T T T"
K 0.617 3.177 1.374
K 4.009 9.530 6.807
Te 0.679 9.530 3.147
Te 3.946 3.177 5.034
I 0.664 7.323 1.310
I 0.664 11.738 1.310
I 0.618 3.177 4.936
I 0.685 9.530 6.121
I 3.940 3.177 2.060
I 4.007 9.530 3.245
I 3.962 0.969 6.871
I 3.962 5.384 6.871
```